(1)
The following is a simulated X-ray diffraction stick pattern of MgHg5Cl3. It was derived from DFT lattice parameters and positions (PBE), using Cu Kα, 1.54184 Å.

Structure:
```
MgHg5Cl3
1.0
6.442 0.000 0.000
0.000 7.411 0.000
-1.135 0.000 6.359
Mg Hg Cl
1 5 3
Cartesian
0.000 0.000 0.000
1.022 5.232 1.215
0.437 1.638 5.021
2.654 2.178 3.180
4.870 1.638 1.338
4.285 5.232 5.144
-0.568 3.735 3.180
3.221 3.722 0.000
2.654 5.953 3.180
```

Top 10 peaks for 2θ from 15° to 90°, by angle:
18.40 deg, intensity 206, hkl 0 1 1
21.60 deg, intensity 612, hkl 1 1 -1
24.02 deg, intensity 504, hkl 0 2 0
24.62 deg, intensity 1000, hkl 1 1 1
31.60 deg, intensity 474, hkl 1 1 -2
36.33 deg, intensity 234, hkl 2 0 -2
37.29 deg, intensity 364, hkl 0 2 2
40.83 deg, intensity 248, hkl 1 3 -1
42.61 deg, intensity 157, hkl 1 3 1
57.60 deg, intensity 148, hkl 0 4 2

(2)
The following is a simulated X-ray diffraction stick pattern of Si2AgF4. It was derived from DFT lattice parameters and positions (PBE), using Cu Kα, 1.54184 Å.

Structure:
```
Si2AgF4
1.0
4.114 0.000 0.000
0.000 9.154 0.000
-0.436 0.000 4.913
Si Ag F
4 2 8
Cartesian
0.582 2.124 2.000
0.364 2.454 4.457
3.314 6.701 0.457
3.096 7.031 2.914
2.057 0.000 0.000
1.839 4.577 2.457
0.873 6.624 0.608
0.655 7.107 3.065
0.833 0.490 1.992
0.615 4.088 4.449
3.063 5.067 0.465
2.845 8.665 2.922
3.023 2.047 1.849
2.805 2.530 4.305
```

Top 10 peaks for 2θ from 15° to 90°, by angle:
20.52 deg, intensity 580, hkl 0 1 1
21.69 deg, intensity 348, hkl 1 0 0
28.81 deg, intensity 489, hkl 1 1 -1
29.25 deg, intensity 1000, hkl 1 2 0
31.20 deg, intensity 798, hkl 1 1 1
34.60 deg, intensity 501, hkl 0 3 1
36.58 deg, intensity 312, hkl 0 0 2
39.37 deg, intensity 462, hkl 0 4 0
47.59 deg, intensity 327, hkl 2 1 -1
48.69 deg, intensity 282, hkl 2 2 0